[1]
# Tb2Dy4S9
Theoretical PXRD pattern, Cu Kα (weighted mean of Kα1 and Kα2). Input: a DFT-relaxed cell (PBE, Alexandria).
Neutral-atom scattering factors, no anomalous dispersion.

Main lines, low angle first (2θ from 15° to 90°):
| index | 2θ (°) | d [Å] | I (rel.) |
| --- | --- | --- | --- |
| 1 0 2 | 17.62 | 5.034 | 41 |
| 0 1 4 | 24.28 | 3.666 | 98 |
| 1 1 0 | 25.73 | 3.462 | 100 |
| 2 0 4 | 35.67 | 2.517 | 47 |
| 1 1 6 | 39.08 | 2.305 | 83 |
| 1 2 4 | 44.50 | 2.036 | 47 |
| 3 0 0 | 45.38 | 1.999 | 49 |
| 0 1 10 | 51.62 | 1.771 | 25 |

Atomic structure:
```
data_Tb2Dy4S9
_symmetry_space_group_name_H-M 'P -3 c 1'
_symmetry_Int_Tables_number 165
_symmetry_space_group_name_Hall '-P 3 2"c'
_cell_length_a 6.9236
_cell_length_b 6.9236
_cell_length_c 18.5342
_cell_angle_alpha 90.00
_cell_angle_beta 90.00
_cell_angle_gamma 120.00
loop_
_atom_site_label
_atom_site_type_symbol
_atom_site_fract_x
_atom_site_fract_y
_atom_site_fract_z
Tb1 Tb 0.0000 0.0000 0.1490
Dy1 Dy 0.3333 0.6667 0.1840
Dy2 Dy 0.3333 0.6667 0.4830
S1 S 0.0000 0.3014 0.2500
S2 S 0.0325 0.3678 0.5834
```

[2]
# TbDy2S4
Theoretical PXRD pattern, Cu Kα (weighted mean of Kα1 and Kα2). Input: a DFT-relaxed cell (PBE, Alexandria).
Neutral-atom scattering factors, no anomalous dispersion.

Main lines, low angle first (2θ from 15° to 90°):
| index | 2θ (°) | d [Å] | I (rel.) |
| --- | --- | --- | --- |
| 2 0 -2 | 25.91 | 3.439 | 54 |
| 1 1 -1 | 26.02 | 3.425 | 100 |
| 1 1 1 | 29.27 | 3.051 | 29 |
| 3 1 0 | 30.72 | 2.910 | 36 |
| 3 1 1 | 37.92 | 2.373 | 58 |
| 5 1 -1 | 38.71 | 2.326 | 50 |
| 6 0 -2 | 39.02 | 2.308 | 28 |
| 3 1 -3 | 45.76 | 1.983 | 46 |

Atomic structure:
```
data_TbDy2S4
_symmetry_space_group_name_H-M 'C 1 2/m 1'
_symmetry_Int_Tables_number 12
_cell_length_a 14.3988
_cell_length_b 3.9492
_cell_length_c 6.8839
_cell_angle_alpha 90.00
_cell_angle_beta 116.24
_cell_angle_gamma 90.00
loop_
_symmetry_equiv_pos_as_xyz
'x,y,z'
'-x,-y,-z'
'-x,y,-z'
'x,-y,z'
'x+1/2,y+1/2,z'
'-x+1/2,-y+1/2,-z'
'-x+1/2,y+1/2,-z'
'x+1/2,-y+1/2,z'
loop_
_atom_site_label
_atom_site_type_symbol
_atom_site_fract_x
_atom_site_fract_y
_atom_site_fract_z
Tb1 Tb 0.0000 0.0000 0.0000
Dy1 Dy 0.2278 0.5000 0.7212
S1 S 0.1258 0.0000 0.4397
S2 S 0.1391 0.5000 0.0034
```